Record 1
Simulated XRD peak list of Zr for CuKα, from a structure optimized by DFT (PBE).
Peak positions follow from Bragg's law for the DFT cell and can differ from measured ones.

Peak list (6 most intense, 2θ from 5° to 70°, in order of rising 2θ)
2θ (°)	intensity
32.04	24
34.65	26
36.55	100
47.91	15
63.34	19
68.58	13

Cell and atoms:
abc: 3.230 5.580 5.177
angles: 90.00 90.00 90.00
Space group Cmcm (No. 63)
Symmetry-distinct sites (fractional):
Zr  0.000  0.167  0.250 [4 per cell]

Record 2
Simulated XRD peak list of Cs2PdI2F2 for CuKα, from a structure optimized by DFT (PBE).
Peak positions follow from Bragg's law for the DFT cell and can differ from measured ones.

Peak list (6 most intense, 2θ from 5° to 70°, in order of rising 2θ)
2θ (°)	intensity
20.58	22
25.64	100
30.07	34
33.10	39
38.44	22
49.73	20

Cell and atoms:
abc: 8.633 11.889 4.282
angles: 90.00 90.00 90.00
Space group Cmmm (No. 65)
Symmetry-distinct sites (fractional):
Cs  0.250  0.250  0.000 [4 per cell]
Pd  0.000  0.000  0.500 [2 per cell]
I  0.197  0.500  0.500 [4 per cell]
F  0.000  0.171  0.500 [4 per cell]

Record 3
Simulated XRD peak list of CdFeMo4C2 for CuKα, from a structure optimized by DFT (PBE).
Peak positions follow from Bragg's law for the DFT cell and can differ from measured ones.

Peak list (6 most intense, 2θ from 5° to 70°, in order of rising 2θ)
2θ (°)	intensity
34.00	21
36.53	6
39.49	100
53.12	11
60.85	17
65.03	6

Cell and atoms:
abc: 3.0445 3.0445 13.6744
angles: 90.00 90.00 120.00
Space group P-6m2 (No. 187)
Symmetry-distinct sites (fractional):
Cd  0.0000  0.0000  0.0000 [1 per cell]
Fe  0.6667  0.3333  0.5000 [1 per cell]
Mo  0.0000  0.0000  0.3517 [2 per cell]
Mo  0.6667  0.3333  0.1813 [2 per cell]
C  0.3333  0.6667  0.2644 [2 per cell]

Record 4
Simulated XRD peak list of Ba3PrN3 for CuKα, from a structure optimized by DFT (PBE).
Peak positions follow from Bragg's law for the DFT cell and can differ from measured ones.

Peak list (6 most intense, 2θ from 5° to 70°, in order of rising 2θ)
2θ (°)	intensity
27.48	100
30.49	29
30.82	21
34.09	20
46.38	16
52.37	17

Cell and atoms:
abc: 10.521 11.604 5.863
angles: 90.00 90.00 90.00
Space group Cmcm (No. 63)
Symmetry-distinct sites (fractional):
Ba  0.000  0.104  0.250 [4 per cell]
Ba  0.241  0.377  0.250 [8 per cell]
Pr  0.000  0.339  0.750 [4 per cell]
N  0.000  0.139  0.750 [4 per cell]
N  0.221  0.380  0.750 [8 per cell]

Record 5
Simulated XRD peak list of LiSnHg3S4 for CuKα, from a structure optimized by DFT (PBE).
Peak positions follow from Bragg's law for the DFT cell and can differ from measured ones.

Peak list (6 most intense, 2θ from 5° to 70°, in order of rising 2θ)
2θ (°)	intensity
14.16	83
24.66	85
28.55	61
32.00	56
40.81	100
48.26	43

Cell and atoms:
abc: 6.254 6.254 6.254
angles: 90.00 90.00 90.00
Space group P-43m (No. 215)
Symmetry-distinct sites (fractional):
Li  0.000  0.000  0.000 [1 per cell]
Sn  0.500  0.500  0.500 [1 per cell]
Hg  0.000  0.500  0.500 [3 per cell]
S  0.239  0.239  0.239 [4 per cell]

Record 6
Simulated XRD peak list of SmY2Al7Cu2 for CuKα, from a structure optimized by DFT (PBE).
Peak positions follow from Bragg's law for the DFT cell and can differ from measured ones.

Peak list (6 most intense, 2θ from 5° to 70°, in order of rising 2θ)
2θ (°)	intensity
20.86	25
30.85	32
32.52	71
33.78	25
38.95	100
62.34	24

Cell and atoms:
abc: 5.5072 5.5072 25.5499
angles: 90.00 90.00 120.00
Space group R-3m (No. 166, hexagonal axes)
Symmetry-distinct sites (fractional):
Sm  0.0000  0.0000  0.0000 [3 per cell]
Y  0.0000  0.0000  0.1418 [6 per cell]
Al  0.0000  0.0000  0.5000 [3 per cell]
Al  0.0060  0.5030  0.9211 [18 per cell]
Cu  0.0000  0.0000  0.3352 [6 per cell]